Structure and theoretical powder XRD pattern of Li5V2Fe5O12 (the GGA+U geometry in Alexandria; Cu Kα (weighted mean of Kα1 and Kα2)).

Top 8 peaks for 2θ from 10° to 80°, by intensity:
42.30°, intensity 100, (1 3 -3)
42.92°, intensity 48, (2 0 2)
61.68°, intensity 40, (1 3 5)
17.97°, intensity 38, (0 0 2)
23.29°, intensity 28, (1 1 1)
61.96°, intensity 27, (3 3 -1)
36.69°, intensity 21, (1 3 1)
20.58°, intensity 19, (1 1 -1)

Structural model:
abc: 5.1800 9.0295 10.0507
angles: 90.00 100.76 90.00
Space group C2 (No. 5)
Asymmetric unit:
Li (0.0000, 0.0000, 0.0000) x2
Li (0.2320, 0.8346, 0.2498) x4
Li (0.2489, 0.9986, 0.7533) x4
V (0.0000, 0.1640, 0.5000) x2
V (0.0000, 0.6749, 0.0000) x2
Fe (0.0000, 0.3448, 0.0000) x2
Fe (0.0000, 0.4957, 0.5000) x2
Fe (0.0000, 0.8342, 0.5000) x2
Fe (0.2421, 0.1640, 0.2451) x4
O (0.1072, 0.9985, 0.3791) x4
O (0.1102, 0.5148, 0.8843) x4
O (0.1319, 0.6710, 0.3846) x4
O (0.1326, 0.3233, 0.3793) x4
O (0.1348, 0.8301, 0.8849) x4
O (0.1533, 0.1838, 0.8893) x4